# Cs2CrFeF6
Simulated XRD peak list, λ = 1.5418 Å (Cu Kα). Input: a GGA+U-relaxed structure.

Largest 6 diffraction maxima, by angle, 10 to 90 degrees two-theta:
two_theta	I_rel
21.71	23.8
25.98	60.0
28.20	100.0
35.87	26.9
38.72	48.8
49.95	27.7

Cell and atoms:
Cell: 10.8937 10.8937 10.8937 Å, 33.77 33.77 33.77°
Fractional positions:
Cs (0.1263, 0.1263, 0.1263)
Cs (0.2854, 0.2854, 0.2854)
Cs (0.7146, 0.7146, 0.7146)
Cs (0.8737, 0.8737, 0.8737)
Cr (0.0000, 0.0000, 0.0000)
Cr (0.5000, 0.5000, 0.5000)
Fe (0.4051, 0.4051, 0.4051)
Fe (0.5949, 0.5949, 0.5949)
F (0.1746, 0.6010, 0.6010)
F (0.2018, 0.2018, 0.7143)
F (0.2018, 0.7143, 0.2018)
F (0.2857, 0.7982, 0.7982)
F (0.3990, 0.3990, 0.8254)
F (0.3990, 0.8254, 0.3990)
F (0.6010, 0.1746, 0.6010)
F (0.6010, 0.6010, 0.1746)
F (0.7143, 0.2018, 0.2018)
F (0.7982, 0.2857, 0.7982)
F (0.7982, 0.7982, 0.2857)
F (0.8254, 0.3990, 0.3990)